Diffraction record for Li3Mn2CoO6. The X-ray diffraction stick pattern is computed, not measured: it uses a structure optimized by DFT (PBE+U) and Cu Kα.

Top 10 peaks for 2θ from 10° to 80°, by intensity:
2θ (°), d (Å), I/Imax
18.3, 4.860, 100.0
42.5, 2.129, 28.0
42.7, 2.117, 27.5
43.9, 2.063, 24.7
35.1, 2.559, 15.0
35.2, 2.549, 14.9
62.8, 1.480, 14.1
37.0, 2.429, 13.7
35.9, 2.498, 13.1
78.8, 1.215, 9.7

Structural model:
```
data_Li3Mn2CoO6
_cell_length_a 3.005
_cell_length_b 5.172
_cell_length_c 15.188
_cell_angle_alpha 95.50
_cell_angle_beta 95.57
_cell_angle_gamma 106.61
_symmetry_space_group_name_H-M 'P 1'
_symmetry_Int_Tables_number 1
loop_
_symmetry_equiv_pos_as_xyz
'x,y,z'
loop_
_atom_site_label
_atom_site_fract_x
_atom_site_fract_y
_atom_site_fract_z
_atom_site_occupancy
Li1 0.000 0.000 0.000 1
Li2 0.001 0.501 0.502 1
Li3 0.328 0.326 0.331 1
Li4 0.329 0.828 0.830 1
Li5 0.674 0.675 0.673 1
Li6 0.675 0.177 0.172 1
Mn1 0.337 0.087 0.586 1
Mn2 0.338 0.590 0.085 1
Mn3 0.665 0.414 0.916 1
Mn4 0.665 0.912 0.417 1
Co1 0.000 0.251 0.751 1
Co2 0.001 0.751 0.251 1
O1 0.017 0.151 0.881 1
O2 0.017 0.650 0.382 1
O3 0.322 0.181 0.463 1
O4 0.322 0.684 0.963 1
O5 0.334 0.968 0.701 1
O6 0.336 0.470 0.200 1
O7 0.667 0.034 0.302 1
O8 0.668 0.535 0.801 1
O9 0.679 0.819 0.539 1
O10 0.680 0.322 0.039 1
O11 0.985 0.350 0.621 1
O12 0.985 0.852 0.121 1
```

Diffraction record for BaYMgCuNiO5. The X-ray diffraction stick pattern is computed, not measured: it uses a structure optimized by DFT (PBE+U) and Cu Kα.

Top 10 peaks for 2θ from 10° to 80°, by intensity:
2θ (°), d (Å), I/Imax
37.2, 2.417, 100.0
35.9, 2.499, 86.4
32.3, 2.771, 85.5
59.1, 1.562, 69.0
28.8, 3.096, 60.0
44.2, 2.048, 51.4
23.7, 3.760, 45.4
37.6, 2.391, 42.5
48.4, 1.881, 40.2
61.7, 1.503, 33.4

Structural model:
```
data_BaYMgCuNiO5
_cell_length_a 3.763
_cell_length_b 4.096
_cell_length_c 9.460
_cell_angle_alpha 90.00
_cell_angle_beta 90.00
_cell_angle_gamma 90.00
_symmetry_space_group_name_H-M 'P m m 2'
_symmetry_Int_Tables_number 25
loop_
_symmetry_equiv_pos_as_xyz
'x,y,z'
'-x,-y,z'
'-x,y,z'
'x,-y,z'
loop_
_atom_site_label
_atom_site_fract_x
_atom_site_fract_y
_atom_site_fract_z
_atom_site_occupancy
Ba1 0.000 0.000 0.000 1
Y1 0.000 0.000 0.373 1
Mg1 0.000 0.500 0.713 1
Cu1 0.500 0.500 0.205 1
Ni1 0.500 0.500 0.500 1
O1 0.000 0.500 0.190 1
O2 0.000 0.500 0.506 1
O3 0.500 0.000 0.195 1
O4 0.500 0.000 0.504 1
O5 0.500 0.500 0.818 1
```

Diffraction record for Li6Co5O10. The X-ray diffraction stick pattern is computed, not measured: it uses a structure optimized by DFT (PBE+U) and Cu Kα.

Top 10 peaks for 2θ from 10° to 80°, by intensity:
2θ (°), d (Å), I/Imax
17.9, 4.967, 100.0
25.6, 3.485, 96.5
25.8, 3.459, 95.3
42.7, 2.116, 25.0
43.2, 2.094, 24.5
42.9, 2.109, 21.1
36.2, 2.483, 15.9
49.2, 1.853, 15.9
53.9, 1.701, 14.8
54.0, 1.697, 13.9

Structural model:
```
data_Li6Co5O10
_cell_length_a 5.456
_cell_length_b 6.268
_cell_length_c 8.245
_cell_angle_alpha 79.76
_cell_angle_beta 77.42
_cell_angle_gamma 67.37
_symmetry_space_group_name_H-M 'P 1'
_symmetry_Int_Tables_number 1
loop_
_symmetry_equiv_pos_as_xyz
'x,y,z'
loop_
_atom_site_label
_atom_site_fract_x
_atom_site_fract_y
_atom_site_fract_z
_atom_site_occupancy
Li1 0.000 0.000 0.000 1
Li2 0.002 0.579 0.181 1
Li3 0.007 0.152 0.366 1
Li4 0.076 0.491 0.495 1
Li5 0.081 0.050 0.678 1
Li6 0.086 0.626 0.853 1
Co1 0.539 0.213 0.724 1
Co2 0.542 0.615 0.519 1
Co3 0.543 0.812 0.930 1
Co4 0.547 0.023 0.337 1
Co5 0.547 0.421 0.131 1
O1 0.287 0.510 0.645 1
O2 0.288 0.314 0.287 1
O3 0.288 0.668 0.021 1
O4 0.290 0.061 0.840 1
O5 0.298 0.912 0.473 1
O6 0.789 0.728 0.378 1
O7 0.796 0.946 0.841 1
O8 0.798 0.557 0.027 1
O9 0.800 0.133 0.204 1
O10 0.805 0.332 0.567 1
```

Diffraction record for Li3Co4CuO8. The X-ray diffraction stick pattern is computed, not measured: it uses a structure optimized by DFT (PBE+U) and Cu Kα.

Top 10 peaks for 2θ from 10° to 80°, by intensity:
2θ (°), d (Å), I/Imax
45.0, 2.013, 100.0
19.1, 4.655, 85.4
42.7, 2.119, 56.8
38.1, 2.359, 33.8
62.8, 1.479, 29.8
64.7, 1.441, 28.1
36.7, 2.447, 27.0
18.8, 4.719, 23.0
37.3, 2.409, 18.6
65.7, 1.420, 18.5

Structural model:
```
data_Li3Co4CuO8
_cell_length_a 10.048
_cell_length_b 5.680
_cell_length_c 5.712
_cell_angle_alpha 90.00
_cell_angle_beta 122.49
_cell_angle_gamma 90.00
_symmetry_space_group_name_H-M 'C 1 2/m 1'
_symmetry_Int_Tables_number 12
loop_
_symmetry_equiv_pos_as_xyz
'x,y,z'
'-x,-y,-z'
'-x,y,-z'
'x,-y,z'
'x+1/2,y+1/2,z'
'-x+1/2,-y+1/2,-z'
'-x+1/2,y+1/2,-z'
'x+1/2,-y+1/2,z'
loop_
_atom_site_label
_atom_site_fract_x
_atom_site_fract_y
_atom_site_fract_z
_atom_site_occupancy
Li1 0.000 0.000 0.000 1
Li2 0.250 0.250 0.500 1
Co1 0.000 0.000 0.500 1
Co2 0.000 0.500 0.000 1
Co3 0.250 0.250 0.000 1
Cu1 0.000 0.500 0.500 1
O1 0.021 0.257 0.773 1
O2 0.232 0.500 0.214 1
O3 0.242 0.000 0.224 1
```